# 1
Diffraction record for CeYAl2Pd2. The XRD peak list is computed, not measured: it uses a crystal structure in Alexandria, relaxed with PBE and λ = 1.5418 Å (Cu Kα).
Neutral-atom scattering factors, no anomalous dispersion.

The 10 most intense peaks (10 to 90 degrees two-theta), in order of rising 2θ:
- 2θ = 14.18°, 6.248 Å, I 15
- 2θ = 24.63°, 3.615 Å, I 22
- 2θ = 24.85°, 3.583 Å, I 27
- 2θ = 26.04°, 3.421 Å, I 18
- 2θ = 33.03°, 2.712 Å, I 29
- 2θ = 33.21°, 2.697 Å, I 73
- 2θ = 36.17°, 2.483 Å, I 100
- 2θ = 36.39°, 2.469 Å, I 56
- 2θ = 44.18°, 2.050 Å, I 50
- 2θ = 69.32°, 1.356 Å, I 17

Unit cell a=7.2299 b=4.1010 c=12.3690 alpha=90.00 beta=90.24 gamma=90.00
Space group Pm (No. 6)
Unique sites:
Ce1 0.0000 0.0000 0.0000 x1
Ce2 0.1311 0.0000 0.2895 x1
Ce3 0.6335 0.0000 0.7884 x1
Y1 0.0026 0.0000 0.5806 x1
Y2 0.5024 0.0000 0.0818 x1
Y3 0.5016 0.0000 0.4968 x1
Al1 0.3288 0.5000 0.6685 x1
Al2 0.3321 0.5000 0.9083 x1
Al3 0.4771 0.5000 0.2902 x1
Al4 0.8244 0.5000 0.1725 x1
Al5 0.8264 0.5000 0.4100 x1
Al6 0.9806 0.5000 0.7868 x1
Pd1 0.2041 0.5000 0.1241 x1
Pd2 0.2074 0.5000 0.4526 x1
Pd3 0.2136 0.0000 0.7899 x1
Pd4 0.7078 0.5000 0.6247 x1
Pd5 0.7120 0.0000 0.2892 x1
Pd6 0.7143 0.5000 0.9528 x1

# 2
Diffraction record for Er5ZrAg4. The XRD peak list is computed, not measured: it uses a crystal structure in Alexandria, relaxed with PBE and λ = 1.5418 Å (Cu Kα).
Neutral-atom scattering factors, no anomalous dispersion.

The 10 most intense peaks (10 to 90 degrees two-theta), in order of rising 2θ:
- 2θ = 34.43°, 2.605 Å, I 100
- 2θ = 36.03°, 2.493 Å, I 48
- 2θ = 37.83°, 2.378 Å, I 6
- 2θ = 47.00°, 1.933 Å, I 8
- 2θ = 51.87°, 1.763 Å, I 17
- 2θ = 60.61°, 1.528 Å, I 14
- 2θ = 63.75°, 1.460 Å, I 33
- 2θ = 72.58°, 1.303 Å, I 8
- 2θ = 86.57°, 1.124 Å, I 7
- 2θ = 87.50°, 1.115 Å, I 8

Unit cell a=3.5255 b=3.5255 c=19.3326 alpha=90.00 beta=90.00 gamma=90.00
Space group P4/mmm (No. 123)
Unique sites:
Er1 0.0000 0.0000 0.0000 x1
Er2 0.0000 0.0000 0.1926 x2
Er3 0.0000 0.0000 0.3855 x2
Zr1 0.5000 0.5000 0.5000 x1
Ag1 0.5000 0.5000 0.0955 x2
Ag2 0.5000 0.5000 0.2885 x2